Theoretical powder X-ray diffraction pattern of La2Ni2I for λ = 1.5418 Å (Cu Kα), from a DFT-relaxed cell (PBE, the Materials Project).
No peak broadening, texture or thermal motion is included.

Atomic structure:
Cell lengths 4.1024, 4.1024, 17.5936 Å; angles 90.00, 90.00, 120.00 degrees
Space group P6_3/mmc (No. 194)
Inequivalent atoms, fractional coordinates:
La  0.0000  0.0000  0.1048 [4 per cell]
Ni  0.3333  0.6667  0.0021 [4 per cell]
I  0.3333  0.6667  0.7500 [2 per cell]

Principal peaks in the range 5 to 70 degrees two-theta, by angle:
| (hkl) | Position (°2θ) | Rel. int. |
| --- | --- | --- |
| 0 0 2 | 10.1 | 11 |
| 1 0 0 | 25.1 | 15 |
| 1 0 1 | 25.6 | 16 |
| 1 0 3 | 29.4 | 12 |
| 1 0 4 | 32.4 | 100 |
| 1 0 6 | 39.9 | 15 |
| 0 0 8 | 41.0 | 10 |
| 1 1 0 | 44.2 | 48 |
| 2 0 4 | 55.8 | 21 |
| 1 1 8 | 61.9 | 18 |

***

Theoretical powder X-ray diffraction pattern of KNaSb for λ = 1.5418 Å (Cu Kα), from a DFT-relaxed cell (PBE, the Materials Project).
No peak broadening, texture or thermal motion is included.

Atomic structure:
Cell lengths 7.6536, 7.6536, 7.6536 Å; angles 90.00, 90.00, 90.00 degrees
Space group F-43m (No. 216)
Inequivalent atoms, fractional coordinates:
K  0.0000  0.0000  0.0000 [4 per cell]
Na  0.2500  0.2500  0.7500 [4 per cell]
Sb  0.0000  0.0000  0.5000 [4 per cell]

Principal peaks in the range 5 to 70 degrees two-theta, by angle:
| (hkl) | Position (°2θ) | Rel. int. |
| --- | --- | --- |
| 1 1 1 | 20.1 | 46 |
| 2 0 0 | 23.2 | 68 |
| 2 2 0 | 33.1 | 100 |
| 3 1 1 | 39.0 | 26 |
| 2 2 2 | 40.8 | 20 |
| 4 0 0 | 47.5 | 17 |
| 3 3 1 | 52.1 | 12 |
| 4 2 0 | 53.5 | 26 |
| 4 2 2 | 59.1 | 35 |
| 4 4 0 | 69.5 | 10 |

***

Theoretical powder X-ray diffraction pattern of PrTlAg2 for λ = 1.5418 Å (Cu Kα), from a DFT-relaxed cell (PBE, the Materials Project).
No peak broadening, texture or thermal motion is included.

Atomic structure:
Cell lengths 7.2491, 7.2491, 7.2491 Å; angles 90.00, 90.00, 90.00 degrees
Space group Fm-3m (No. 225)
Inequivalent atoms, fractional coordinates:
Pr  0.0000  0.0000  0.0000 [4 per cell]
Tl  0.0000  0.0000  0.5000 [4 per cell]
Ag  0.2500  0.2500  0.2500 [8 per cell]

Principal peaks in the range 5 to 70 degrees two-theta, by angle:
| (hkl) | Position (°2θ) | Rel. int. |
| --- | --- | --- |
| 1 1 1 | 21.2 | 2 |
| 2 0 0 | 24.6 | 5 |
| 2 2 0 | 35.0 | 100 |
| 3 1 1 | 41.3 | 1 |
| 2 2 2 | 43.2 | 2 |
| 4 0 0 | 50.4 | 18 |
| 3 3 1 | 55.2 | 1 |
| 4 2 0 | 56.8 | 2 |
| 4 2 2 | 62.8 | 36 |

***

Theoretical powder X-ray diffraction pattern of CeCu2Sn2 for λ = 1.5418 Å (Cu Kα), from a DFT-relaxed cell (PBE, the Materials Project).
No peak broadening, texture or thermal motion is included.

Atomic structure:
Cell lengths 4.4716, 4.4716, 10.5402 Å; angles 90.00, 90.00, 90.00 degrees
Space group P4/nmm (No. 129, origin choice 2)
Inequivalent atoms, fractional coordinates:
Ce  0.2500  0.2500  0.2375 [2 per cell]
Cu  0.2500  0.2500  0.6342 [2 per cell]
Cu  0.2500  0.7500  0.0000 [2 per cell]
Sn  0.2500  0.2500  0.8730 [2 per cell]
Sn  0.2500  0.7500  0.5000 [2 per cell]

Principal peaks in the range 5 to 70 degrees two-theta, by angle:
| (hkl) | Position (°2θ) | Rel. int. |
| --- | --- | --- |
| 1 0 3 | 32.4 | 61 |
| 1 1 2 | 33.0 | 100 |
| 2 0 0 | 40.3 | 68 |
| 1 1 4 | 44.8 | 23 |
| 1 0 5 | 47.7 | 24 |
| 2 1 3 | 52.7 | 31 |
| 2 2 0 | 58.4 | 23 |
| 1 1 6 | 60.3 | 13 |
| 2 1 5 | 64.2 | 20 |
| 3 1 2 | 68.7 | 24 |

***

Theoretical powder X-ray diffraction pattern of La3P6Pd20 for λ = 1.5418 Å (Cu Kα), from a DFT-relaxed cell (PBE, the Materials Project).
No peak broadening, texture or thermal motion is included.

Atomic structure:
Cell lengths 12.4360, 12.4360, 12.4360 Å; angles 90.00, 90.00, 90.00 degrees
Space group Fm-3m (No. 225)
Inequivalent atoms, fractional coordinates:
La  0.0000  0.0000  0.0000 [4 per cell]
La  0.2500  0.2500  0.2500 [8 per cell]
P  0.0000  0.0000  0.2632 [24 per cell]
Pd  0.0000  0.1733  0.1733 [48 per cell]
Pd  0.1140  0.1140  0.3860 [32 per cell]

Principal peaks in the range 5 to 70 degrees two-theta, by angle:
| (hkl) | Position (°2θ) | Rel. int. |
| --- | --- | --- |
| 4 2 0 | 32.2 | 23 |
| 4 2 2 | 35.4 | 29 |
| 3 3 3 | 37.6 | 100 |
| 4 4 0 | 41.1 | 30 |
| 5 3 1 | 43.0 | 25 |
| 6 0 0 | 43.7 | 9 |
| 6 2 2 | 48.6 | 12 |
| 6 4 4 | 61.5 | 8 |
| 6 6 0 | 63.5 | 29 |
| 5 5 5 | 64.9 | 14 |

***

Theoretical powder X-ray diffraction pattern of Li2Ca5N4 for λ = 1.5418 Å (Cu Kα), from a DFT-relaxed cell (PBE, the Materials Project).
No peak broadening, texture or thermal motion is included.

Atomic structure:
Cell lengths 7.9310, 7.9310, 13.0584 Å; angles 90.00, 90.00, 90.00 degrees
Space group P4/ncc (No. 130, origin choice 2)
Inequivalent atoms, fractional coordinates:
Li  0.0975  0.5975  0.2500 [8 per cell]
Ca  0.0780  0.6323  0.5848 [16 per cell]
Ca  0.2500  0.2500  0.1262 [4 per cell]
N  0.0533  0.6352  0.3942 [16 per cell]

Principal peaks in the range 5 to 70 degrees two-theta, by angle:
| (hkl) | Position (°2θ) | Rel. int. |
| --- | --- | --- |
| 0 0 2 | 13.6 | 90 |
| 1 0 2 | 17.6 | 33 |
| 0 0 4 | 27.3 | 66 |
| 2 1 2 | 28.6 | 53 |
| 2 1 3 | 32.6 | 98 |
| 3 1 0 | 35.8 | 100 |
| 3 1 1 | 36.5 | 50 |
| 0 0 6 | 41.5 | 30 |
| 3 1 4 | 45.6 | 39 |
| 4 2 1 | 52.0 | 28 |

***

Theoretical powder X-ray diffraction pattern of Lu3In for λ = 1.5418 Å (Cu Kα), from a DFT-relaxed cell (PBE, the Materials Project).
No peak broadening, texture or thermal motion is included.

Atomic structure:
Cell lengths 4.7569, 4.7569, 4.7569 Å; angles 90.00, 90.00, 90.00 degrees
Space group Pm-3m (No. 221)
Inequivalent atoms, fractional coordinates:
Lu  0.0000  0.0000  0.5000 [3 per cell]
In  0.5000  0.5000  0.5000 [1 per cell]

Principal peaks in the range 5 to 70 degrees two-theta, by angle:
| (hkl) | Position (°2θ) | Rel. int. |
| --- | --- | --- |
| 1 0 0 | 18.7 | 2 |
| 1 1 0 | 26.5 | 2 |
| 1 1 1 | 32.6 | 100 |
| 2 0 0 | 37.8 | 50 |
| 2 1 0 | 42.5 | 1 |
| 2 1 1 | 46.8 | 1 |
| 2 2 0 | 54.6 | 35 |
| 3 0 0 | 58.2 | 1 |
| 3 1 1 | 65.0 | 41 |
| 2 2 2 | 68.3 | 12 |